1.
This entry pairs a crystal structure of V2ZnO4 with its computed powder diffractogram. Radiation: Cu Kα (weighted mean of Kα1 and Kα2). Structure: a DFT-relaxed cell (PBE+U, the Materials Project).

Main lines, low angle first (2θ = 10–80°):
2θ (°), Rel. int.
32.37, 100
32.92, 29
36.47, 25
36.70, 18
42.25, 53
45.17, 42
48.47, 14
56.14, 22
59.55, 22
62.99, 14
63.38, 26
72.61, 17

```
V2ZnO4
1.0
1.4757 -4.8971 0.0000
1.4757 4.8971 0.0000
0.0000 0.0000 10.0548
V Zn O
4 2 8
Direct
0.1325 0.8675 0.5719 V
0.1325 0.8675 0.9281 V
0.8675 0.1325 0.0719 V
0.8675 0.1325 0.4281 V
0.3888 0.6112 0.7500 Zn
0.6112 0.3888 0.2500 Zn
0.0332 0.9668 0.7500 O
0.2308 0.7692 0.1132 O
0.2308 0.7692 0.3868 O
0.5000 0.5000 0.0000 O
0.5000 0.5000 0.5000 O
0.7692 0.2308 0.6132 O
0.7692 0.2308 0.8868 O
0.9668 0.0332 0.2500 O
```

***

2.
This entry pairs a crystal structure of MgFePO4 with its computed powder diffractogram. Radiation: Cu Kα (weighted mean of Kα1 and Kα2). Structure: a DFT-relaxed cell (PBE+U, the Materials Project).

Main lines, low angle first (2θ = 10–80°):
2θ (°), Rel. int.
21.28, 89
24.52, 13
24.80, 10
34.96, 19
35.16, 100
41.29, 23
43.33, 11
50.27, 19
55.46, 10
56.71, 9
62.83, 27
63.21, 22

```
MgFePO4
1.0
-2.5666 2.5666 3.5904
2.5666 -2.5666 3.5904
2.5666 2.5666 -3.5904
Mg Fe P O
1 1 1 4
Direct
0.0000 0.0000 0.0000 Mg
0.5000 0.5000 0.0000 Fe
0.7500 0.2500 0.5000 P
0.0293 0.5669 0.8512 O
0.4331 0.2842 0.4624 O
0.7158 0.1782 0.1488 O
0.8218 0.9707 0.5376 O
```

***

3.
This entry pairs a crystal structure of Fe4O3F5 with its computed powder diffractogram. Radiation: Cu Kα (weighted mean of Kα1 and Kα2). Structure: a DFT-relaxed cell (PBE+U, the Materials Project).

Main lines, low angle first (2θ = 10–80°):
2θ (°), Rel. int.
25.64, 100
26.96, 90
34.39, 74
34.48, 25
39.82, 18
50.94, 16
51.09, 32
51.24, 16
52.56, 37
52.68, 30
59.52, 18
65.71, 16

```
Fe4O3F5
1.0
4.8082 0.0000 0.0000
-0.0153 6.2123 0.0000
-0.4667 -3.0784 9.5583
Fe O F
8 6 10
Direct
0.0000 0.0000 0.0000 Fe
0.0059 0.7518 0.5196 Fe
0.4622 0.8772 0.2393 Fe
0.4688 0.3670 0.2345 Fe
0.4896 0.1331 0.7497 Fe
0.5183 0.6146 0.7335 Fe
0.9397 0.2567 0.4852 Fe
0.9839 0.5031 0.9911 Fe
0.2809 0.5786 0.1479 O
0.2920 0.0788 0.1501 O
0.3012 0.8229 0.6533 O
0.6684 0.1712 0.3378 O
0.6919 0.4352 0.8422 O
0.7932 0.5465 0.5868 O
0.1664 0.9518 0.4037 F
0.1714 0.4552 0.3954 F
0.1718 0.2136 0.8994 F
0.1925 0.6896 0.8930 F
0.2769 0.3303 0.6324 F
0.6797 0.6796 0.3477 F
0.6914 0.9123 0.8470 F
0.7824 0.3119 0.0933 F
0.7868 0.7914 0.0972 F
0.8037 0.0478 0.5896 F
```

***

4.
This entry pairs a crystal structure of MgMnSiO5 with its computed powder diffractogram. Radiation: Cu Kα (weighted mean of Kα1 and Kα2). Structure: a DFT-relaxed cell (PBE+U, the Materials Project).

Main lines, low angle first (2θ = 10–80°):
2θ (°), Rel. int.
18.62, 51
28.10, 100
30.75, 57
35.71, 27
35.86, 70
41.15, 14
44.79, 21
55.79, 21
58.06, 26
62.11, 13
64.05, 14
66.86, 14

```
MgMnSiO5
1.0
5.2426 0.0000 0.0000
-1.3422 5.0792 0.0000
-1.7514 -2.3150 6.2983
Mg Mn Si O
2 2 2 10
Direct
0.0000 0.0000 0.0000 Mg
0.3413 0.6607 0.4960 Mg
0.6694 0.3284 0.2443 Mn
0.6695 0.3292 0.7444 Mn
0.3490 0.6491 0.9948 Si
0.9896 0.0076 0.4942 Si
0.0408 0.5952 0.8264 O
0.2984 0.0637 0.6627 O
0.3440 0.4221 0.1201 O
0.4005 0.9585 0.1618 O
0.5796 0.6568 0.8715 O
0.5816 0.4174 0.4949 O
0.7575 0.2411 0.9939 O
0.7587 0.0018 0.6168 O
0.9399 0.6977 0.3290 O
0.9943 0.2318 0.3660 O
```

***

5.
This entry pairs a crystal structure of LiMnF4 with its computed powder diffractogram. Radiation: Cu Kα (weighted mean of Kα1 and Kα2). Structure: a DFT-relaxed cell (PBE+U, the Materials Project).

Main lines, low angle first (2θ = 10–80°):
2θ (°), Rel. int.
15.60, 36
20.73, 11
23.42, 44
27.16, 100
30.51, 29
40.32, 26
41.27, 36
47.19, 22
53.42, 15
54.20, 39
63.41, 9
63.70, 18

```
LiMnF4
1.0
4.6270 0.0000 0.0000
0.0000 11.3593 0.0000
0.0000 0.0000 5.1108
Li Mn F
4 4 16
Direct
0.0000 0.0582 0.2500 Li
0.0000 0.9418 0.7500 Li
0.5000 0.4418 0.7500 Li
0.5000 0.5582 0.2500 Li
0.0000 0.3222 0.2500 Mn
0.0000 0.6778 0.7500 Mn
0.5000 0.1778 0.7500 Mn
0.5000 0.8222 0.2500 Mn
0.2193 0.1973 0.0940 F
0.2193 0.8027 0.5940 F
0.2432 0.4353 0.0985 F
0.2432 0.5647 0.5985 F
0.2568 0.0647 0.5985 F
0.2568 0.9353 0.0985 F
0.2807 0.3027 0.5940 F
0.2807 0.6973 0.0940 F
0.7193 0.3027 0.9060 F
0.7193 0.6973 0.4060 F
0.7432 0.0647 0.9015 F
0.7432 0.9353 0.4015 F
0.7568 0.4353 0.4015 F
0.7568 0.5647 0.9015 F
0.7807 0.1973 0.4060 F
0.7807 0.8027 0.9060 F
```

***

6.
This entry pairs a crystal structure of Mn3Cr3Sn2O16 with its computed powder diffractogram. Radiation: Cu Kα (weighted mean of Kα1 and Kα2). Structure: a DFT-relaxed cell (PBE+U, the Materials Project).

Main lines, low angle first (2θ = 10–80°):
2θ (°), Rel. int.
18.66, 14
19.87, 100
25.70, 33
33.35, 34
36.05, 33
36.12, 16
36.78, 19
45.90, 21
56.19, 14
60.87, 13
60.97, 14
63.62, 15

```
Mn3Cr3Sn2O16
1.0
5.0704 -2.9176 0.0000
5.0704 2.9176 0.0000
-0.0225 0.0000 9.5116
Mn Cr Sn O
3 3 2 16
Direct
0.0000 0.0000 0.0000 Mn
0.1662 0.6630 0.5003 Mn
0.6630 0.1662 0.5003 Mn
0.0011 0.4971 0.0008 Cr
0.4971 0.0011 0.0008 Cr
0.6643 0.6643 0.5063 Cr
0.1595 0.1595 0.7230 Sn
0.4957 0.4957 0.2250 Sn
0.1507 0.6686 0.1077 O
0.1601 0.1601 0.1077 O
0.3060 0.3060 0.8865 O
0.3111 0.8649 0.8838 O
0.3470 0.3470 0.3847 O
0.3475 0.7924 0.3864 O
0.4920 0.4920 0.6069 O
0.5047 0.9881 0.6056 O
0.6647 0.6647 0.1041 O
0.6686 0.1507 0.1077 O
0.7924 0.3475 0.3864 O
0.8328 0.8328 0.4021 O
0.8329 0.8329 0.9029 O
0.8649 0.3111 0.8838 O
0.9881 0.5047 0.6056 O
0.9879 0.9879 0.6096 O
```

***

7.
This entry pairs a crystal structure of Mg14CrBiO16 with its computed powder diffractogram. Radiation: Cu Kα (weighted mean of Kα1 and Kα2). Structure: a DFT-relaxed cell (PBE+U, the Materials Project).

Main lines, low angle first (2θ = 10–80°):
2θ (°), Rel. int.
10.07, 66
14.26, 61
20.20, 54
22.61, 56
24.78, 43
28.72, 47
30.50, 43
35.37, 51
38.31, 29
40.96, 52
41.12, 100
59.44, 60

```
Mg14CrBiO16
1.0
8.7811 0.0000 0.0000
0.0000 8.7811 0.0000
0.0000 0.0000 4.4064
Mg Cr Bi O
14 1 1 16
Direct
0.0000 0.2476 0.0000 Mg
0.0000 0.5000 0.5000 Mg
0.0000 0.7524 0.0000 Mg
0.2336 0.5000 0.0000 Mg
0.2403 0.2403 0.5000 Mg
0.2403 0.7597 0.5000 Mg
0.2476 0.0000 0.0000 Mg
0.5000 0.0000 0.5000 Mg
0.5000 0.2336 0.0000 Mg
0.5000 0.7664 0.0000 Mg
0.7524 0.0000 0.0000 Mg
0.7597 0.2403 0.5000 Mg
0.7597 0.7597 0.5000 Mg
0.7664 0.5000 0.0000 Mg
0.0000 0.0000 0.5000 Cr
0.5000 0.5000 0.5000 Bi
0.0000 0.0000 0.0000 O
0.0000 0.2620 0.5000 O
0.0000 0.5000 0.0000 O
0.0000 0.7380 0.5000 O
0.2340 0.5000 0.5000 O
0.2512 0.2512 0.0000 O
0.2512 0.7488 0.0000 O
0.2620 0.0000 0.5000 O
0.5000 0.0000 0.0000 O
0.5000 0.2340 0.5000 O
0.5000 0.5000 0.0000 O
0.5000 0.7660 0.5000 O
0.7380 0.0000 0.5000 O
0.7488 0.2512 0.0000 O
0.7488 0.7488 0.0000 O
0.7660 0.5000 0.5000 O
```